Structure and theoretical powder X-ray diffraction pattern of ScVO4 (a cell relaxed with GGA+U; Cu Kα X-rays).
Intensities are scaled so that the largest is 100.

Top 12 peaks for 10° ≤ 2θ ≤ 90°, by angle:
hkl	2θ (°)	intensity
1 1 2	30.64	100
0 0 4	33.16	9
2 0 0	36.66	7
1 2 1	42.05	7
1 1 4	42.42	10
2 0 4	50.26	34
2 2 0	52.82	17
1 1 6	57.68	15
1 3 2	62.31	25
2 2 4	63.81	8
2 0 8	81.34	8
3 1 6	82.02	9

Structure:
```
data_ScVO4
_chemical_formula_sum 'Sc4 V4 O16'
_symmetry_space_group_name_H-M 'I 41/a'
_symmetry_Int_Tables_number 88
_cell_length_a 4.9021
_cell_length_b 4.9021
_cell_length_c 10.8058
_cell_angle_alpha 90.00
_cell_angle_beta 90.00
_cell_angle_gamma 90.00
loop_
_symmetry_equiv_pos_as_xyz
'x,y,z'
'-x,-y,-z'
'-y+3/4,x+1/4,z+1/4'
'y+3/4,-x+1/4,-z+1/4'
'-x+1/2,-y,z+1/2'
'x+1/2,y,-z+1/2'
'y+3/4,-x+3/4,z+3/4'
'-y+3/4,x+3/4,-z+3/4'
'x+1/2,y+1/2,z+1/2'
'-x+1/2,-y+1/2,-z+1/2'
'-y+1/4,x+3/4,z+3/4'
'y+1/4,-x+3/4,-z+3/4'
'-x,-y+1/2,z'
'x,y+1/2,-z'
'y+1/4,-x+1/4,z+1/4'
'-y+1/4,x+1/4,-z+1/4'
loop_
_atom_site_label
_atom_site_type_symbol
_atom_site_fract_x
_atom_site_fract_y
_atom_site_fract_z
Sc1 Sc 0.0000 0.2500 0.1250
V1 V 0.0000 0.2500 0.6250
O1 O 0.1654 0.0134 0.2936
```